Starting from a DFT-relaxed cell (GGA-PBE, Alexandria), the XRD peak list of Cr2Co3N4 was simulated for Cu Kα, 1.54184 Å.
Peak positions follow from Bragg's law for the DFT cell and can differ from measured ones.

Cell lengths 8.4971, 7.1244, 5.4281 Å; angles 90.00, 90.28, 90.00 degrees
Space group C2/c (No. 15)
Asymmetric unit:
Cr  0.1830  0.1281  0.1507 x8
Co  0.0000  0.1579  0.7500 x4
Co  0.1209  0.3950  0.4912 x8
N  0.1048  0.3317  0.9729 x8
N  0.1534  0.1047  0.4920 x8

Most intense lines, 15 to 90 degrees two-theta, by angle:
hkl 2 2 -1, 2θ 36.8, rel. 100.0
hkl 1 1 2, 2θ 37.0, rel. 63.3
hkl 3 1 1, 2θ 38.1, rel. 46.3
hkl 0 4 0, 2θ 51.3, rel. 26.9
hkl 1 3 2, 2θ 52.3, rel. 24.4
hkl 3 3 1, 2θ 53.1, rel. 17.7
hkl 1 1 -3, 2θ 53.3, rel. 19.2
hkl 4 0 -2, 2θ 54.7, rel. 27.0
hkl 5 1 0, 2θ 55.6, rel. 17.6
hkl 1 3 -3, 2θ 65.8, rel. 14.3